[1]
Computed XRD peak list
Compound: Pr2H2Pt3
Radiation: Cu Kα, 1.54184 Å
Structure: a crystal structure in Alexandria, relaxed with GGA-PBE

Atomic structure:
```
data_Pr2H2Pt3
_chemical_formula_sum 'Pr2 H2 Pt3'
_symmetry_space_group_name_H-M 'P 1 2/m 1'
_symmetry_Int_Tables_number 10
_cell_length_a 4.583
_cell_length_b 3.816
_cell_length_c 7.162
_cell_angle_alpha 90.00
_cell_angle_beta 96.22
_cell_angle_gamma 90.00
loop_
_symmetry_equiv_pos_as_xyz
'x,y,z'
'-x,-y,-z'
'-x,y,-z'
'x,-y,z'
loop_
_atom_site_label
_atom_site_type_symbol
_atom_site_fract_x
_atom_site_fract_y
_atom_site_fract_z
Pr1 Pr 0.211 0.000 0.268
H1 H 0.163 0.500 0.853
Pt1 Pt 0.274 0.500 0.618
Pt2 Pt 0.500 0.500 0.000
```

The 10 most intense peaks (2θ from 10° to 80°), sorted by position:
d/Å, I_rel
2.925, 25.4
2.775, 100.0
2.669, 33.1
2.642, 29.6
2.603, 46.7
2.241, 29.6
2.205, 34.1
2.187, 36.5
1.908, 34.5
1.359, 29.4

---

[2]
Computed XRD peak list
Compound: PrH8Pt2Rh3
Radiation: Cu Kα, 1.54184 Å
Structure: a crystal structure in Alexandria, relaxed with GGA-PBE

Atomic structure:
```
data_PrH8Pt2Rh3
_chemical_formula_sum 'Pr3 H24 Pt6 Rh9'
_symmetry_space_group_name_H-M 'R 3 m'
_symmetry_Int_Tables_number 160
_symmetry_space_group_name_Hall 'R 3 -2"'
_cell_length_a 5.7237
_cell_length_b 5.7237
_cell_length_c 14.0823
_cell_angle_alpha 90.00
_cell_angle_beta 90.00
_cell_angle_gamma 120.00
loop_
_atom_site_label
_atom_site_type_symbol
_atom_site_fract_x
_atom_site_fract_y
_atom_site_fract_z
Pr1 Pr 0.0000 0.0000 0.0000
H1 H 0.0000 0.0000 0.3855
H2 H 0.0000 0.0000 0.8408
H3 H 0.0379 0.5189 0.8427
H4 H 0.0985 0.5493 0.3876
Pt1 Pt 0.0000 0.0000 0.2544
Pt2 Pt 0.0000 0.0000 0.6207
Rh1 Rh 0.0047 0.5024 0.1273
```

The 10 most intense peaks (2θ from 10° to 80°), sorted by position:
d/Å, I_rel
2.864, 43.4
2.445, 100.0
2.441, 15.0
2.338, 24.9
1.653, 10.9
1.560, 20.1
1.559, 17.5
1.435, 15.4
1.431, 15.6
1.221, 10.6

---

[3]
Computed XRD peak list
Compound: PrZnHPt2
Radiation: Cu Kα, 1.54184 Å
Structure: a crystal structure in Alexandria, relaxed with GGA-PBE

Atomic structure:
```
data_PrZnHPt2
_chemical_formula_sum 'Pr4 Zn4 H4 Pt8'
_symmetry_space_group_name_H-M 'C m c m'
_symmetry_Int_Tables_number 63
_symmetry_space_group_name_Hall '-C 2c 2'
_cell_length_a 4.034
_cell_length_b 10.926
_cell_length_c 7.446
_cell_angle_alpha 90.00
_cell_angle_beta 90.00
_cell_angle_gamma 90.00
loop_
_atom_site_label
_atom_site_type_symbol
_atom_site_fract_x
_atom_site_fract_y
_atom_site_fract_z
Pr1 Pr 0.000 0.057 0.250
Zn1 Zn 0.000 0.226 0.750
H1 H 0.000 0.500 0.000
Pt1 Pt 0.000 0.344 0.056
```

The 10 most intense peaks (2θ from 10° to 80°), sorted by position:
d/Å, I_rel
2.703, 93.3
2.654, 100.0
2.564, 35.9
2.541, 43.4
2.260, 48.4
2.187, 37.8
2.075, 46.4
2.017, 42.8
1.519, 33.7
1.505, 27.4

---

[4]
Computed XRD peak list
Compound: PrH6Rh3
Radiation: Cu Kα, 1.54184 Å
Structure: a crystal structure in Alexandria, relaxed with GGA-PBE

Atomic structure:
```
data_PrH6Rh3
_chemical_formula_sum 'Pr2 H12 Rh6'
_symmetry_space_group_name_H-M 'C 1 m 1'
_symmetry_Int_Tables_number 8
_cell_length_a 7.003
_cell_length_b 6.992
_cell_length_c 5.055
_cell_angle_alpha 90.00
_cell_angle_beta 133.63
_cell_angle_gamma 90.00
loop_
_symmetry_equiv_pos_as_xyz
'x,y,z'
'x,-y,z'
'x+1/2,y+1/2,z'
'x+1/2,-y+1/2,z'
loop_
_atom_site_label
_atom_site_type_symbol
_atom_site_fract_x
_atom_site_fract_y
_atom_site_fract_z
Pr1 Pr 0.000 0.000 0.000
H1 H 0.006 0.500 0.361
H2 H 0.208 0.296 0.999
H3 H 0.297 0.179 0.609
H4 H 0.400 0.500 0.426
Rh1 Rh 0.010 0.500 0.998
Rh2 Rh 0.496 0.248 0.499
```

The 10 most intense peaks (2θ from 10° to 80°), sorted by position:
d/Å, I_rel
2.530, 100.0
2.525, 33.0
2.474, 62.8
1.829, 12.9
1.749, 22.0
1.473, 12.3
1.469, 12.2
1.441, 11.3
1.438, 33.8
1.263, 10.9

---

[5]
Computed XRD peak list
Compound: PrHRh
Radiation: Cu Kα, 1.54184 Å
Structure: a crystal structure in Alexandria, relaxed with GGA-PBE

Atomic structure:
```
data_PrHRh
_chemical_formula_sum 'Pr2 H2 Rh2'
_symmetry_space_group_name_H-M 'P m m a'
_symmetry_Int_Tables_number 51
_cell_length_a 5.062
_cell_length_b 3.783
_cell_length_c 5.046
_cell_angle_alpha 90.00
_cell_angle_beta 90.00
_cell_angle_gamma 90.00
loop_
_symmetry_equiv_pos_as_xyz
'x,y,z'
'-x,-y,-z'
'-x+1/2,-y,z'
'x+1/2,y,-z'
'x+1/2,-y,-z'
'-x+1/2,y,z'
'-x,y,-z'
'x,-y,z'
loop_
_atom_site_label
_atom_site_type_symbol
_atom_site_fract_x
_atom_site_fract_y
_atom_site_fract_z
Pr1 Pr 0.250 0.000 0.250
H1 H 0.000 0.500 0.000
Rh1 Rh 0.250 0.500 0.726
```

The 10 most intense peaks (2θ from 10° to 80°), sorted by position:
d/Å, I_rel
2.598, 100.0
2.531, 23.2
2.523, 22.1
1.892, 9.9
1.787, 15.9
1.514, 18.5
1.474, 17.1
1.471, 15.7
1.299, 10.9
1.265, 2.6

---

[6]
Computed XRD peak list
Compound: PrH8Rh2
Radiation: Cu Kα, 1.54184 Å
Structure: a crystal structure in Alexandria, relaxed with GGA-PBE

Atomic structure:
```
data_PrH8Rh2
_chemical_formula_sum 'Pr2 H16 Rh4'
_symmetry_space_group_name_H-M 'I 4/m m m'
_symmetry_Int_Tables_number 139
_symmetry_space_group_name_Hall '-I 4 2'
_cell_length_a 4.417
_cell_length_b 4.417
_cell_length_c 10.163
_cell_angle_alpha 90.00
_cell_angle_beta 90.00
_cell_angle_gamma 90.00
loop_
_atom_site_label
_atom_site_type_symbol
_atom_site_fract_x
_atom_site_fract_y
_atom_site_fract_z
Pr1 Pr 0.000 0.000 0.000
H1 H 0.222 0.222 0.339
Rh1 Rh 0.000 0.500 0.250
```

The 10 most intense peaks (2θ from 10° to 80°), sorted by position:
d/Å, I_rel
4.051, 46.9
2.688, 17.0
2.661, 100.0
2.541, 21.1
2.209, 27.7
1.939, 12.9
1.667, 24.7
1.489, 16.5
1.347, 23.4
1.331, 11.1

---

[7]
Computed XRD peak list
Compound: PrH7Rh4
Radiation: Cu Kα, 1.54184 Å
Structure: a crystal structure in Alexandria, relaxed with GGA-PBE

Atomic structure:
```
data_PrH7Rh4
_chemical_formula_sum 'Pr2 H14 Rh8'
_symmetry_space_group_name_H-M 'P m n 21'
_symmetry_Int_Tables_number 31
_cell_length_a 9.372
_cell_length_b 5.427
_cell_length_c 4.659
_cell_angle_alpha 90.00
_cell_angle_beta 90.00
_cell_angle_gamma 90.00
loop_
_symmetry_equiv_pos_as_xyz
'x,y,z'
'-x+1/2,-y,z+1/2'
'-x,y,z'
'x+1/2,-y,z+1/2'
loop_
_atom_site_label
_atom_site_type_symbol
_atom_site_fract_x
_atom_site_fract_y
_atom_site_fract_z
Pr1 Pr 0.000 0.232 0.000
H1 H 0.000 0.771 0.634
H2 H 0.105 0.181 0.509
H3 H 0.133 0.590 0.336
H4 H 0.184 0.921 0.884
Rh1 Rh 0.162 0.886 0.504
Rh2 Rh 0.242 0.614 0.008
```

The 10 most intense peaks (2θ from 10° to 80°), sorted by position:
d/Å, I_rel
4.688, 40.9
3.539, 35.6
2.822, 63.1
2.708, 55.6
2.595, 53.2
2.345, 100.0
2.341, 30.2
2.329, 61.5
2.097, 40.7
1.766, 30.8

---

[8]
Computed XRD peak list
Compound: PrH6RuRh
Radiation: Cu Kα, 1.54184 Å
Structure: a crystal structure in Alexandria, relaxed with GGA-PBE

Atomic structure:
```
data_PrH6RuRh
_chemical_formula_sum 'Pr1 H6 Ru1 Rh1'
_symmetry_space_group_name_H-M 'P -6 m 2'
_symmetry_Int_Tables_number 187
_symmetry_space_group_name_Hall 'P -6 2'
_cell_length_a 4.7002
_cell_length_b 4.7002
_cell_length_c 4.3657
_cell_angle_alpha 90.00
_cell_angle_beta 90.00
_cell_angle_gamma 120.00
loop_
_atom_site_label
_atom_site_type_symbol
_atom_site_fract_x
_atom_site_fract_y
_atom_site_fract_z
Pr1 Pr 0.0000 0.0000 0.0000
H1 H 0.0088 0.5044 0.2332
Ru1 Ru 0.3333 0.6667 0.5000
Rh1 Rh 0.6667 0.3333 0.5000
```

The 10 most intense peaks (2θ from 10° to 80°), sorted by position:
d/Å, I_rel
4.366, 3.4
2.977, 100.0
2.350, 51.7
2.183, 13.5
2.069, 2.6
1.845, 24.9
1.599, 31.7
1.451, 22.4
1.370, 9.2
1.357, 8.9

---

[9]
Computed XRD peak list
Compound: PrSbHRh
Radiation: Cu Kα, 1.54184 Å
Structure: a crystal structure in Alexandria, relaxed with GGA-PBE

Atomic structure:
```
data_PrSbHRh
_chemical_formula_sum 'Pr1 Sb1 H1 Rh1'
_symmetry_space_group_name_H-M 'P -6 m 2'
_symmetry_Int_Tables_number 187
_symmetry_space_group_name_Hall 'P -6 2'
_cell_length_a 4.7011
_cell_length_b 4.7011
_cell_length_c 3.7469
_cell_angle_alpha 90.00
_cell_angle_beta 90.00
_cell_angle_gamma 120.00
loop_
_atom_site_label
_atom_site_type_symbol
_atom_site_fract_x
_atom_site_fract_y
_atom_site_fract_z
Pr1 Pr 0.0000 0.0000 0.0000
Sb1 Sb 0.3333 0.6667 0.5000
H1 H 0.6667 0.3333 0.0000
Rh1 Rh 0.6667 0.3333 0.5000
```

The 10 most intense peaks (2θ from 10° to 80°), sorted by position:
d/Å, I_rel
4.071, 1.7
3.747, 4.1
2.757, 100.0
2.351, 67.1
1.991, 4.1
1.873, 11.2
1.789, 27.7
1.465, 29.7
1.423, 25.9
1.357, 11.5

---

[10]
Computed XRD peak list
Compound: PrSbH6Rh3
Radiation: Cu Kα, 1.54184 Å
Structure: a crystal structure in Alexandria, relaxed with GGA-PBE

Atomic structure:
```
data_PrSbH6Rh3
_chemical_formula_sum 'Pr3 Sb3 H18 Rh9'
_symmetry_space_group_name_H-M 'R 3'
_symmetry_Int_Tables_number 146
_symmetry_space_group_name_Hall 'R 3'
_cell_length_a 7.3049
_cell_length_b 7.3049
_cell_length_c 8.1554
_cell_angle_alpha 90.00
_cell_angle_beta 90.00
_cell_angle_gamma 120.00
loop_
_atom_site_label
_atom_site_type_symbol
_atom_site_fract_x
_atom_site_fract_y
_atom_site_fract_z
Pr1 Pr 0.0000 0.0000 0.0000
Sb1 Sb 0.0000 0.0000 0.4057
H1 H 0.0118 0.4113 0.5173
H2 H 0.0369 0.8110 0.7315
Rh1 Rh 0.1206 0.4069 0.3232
```

The 10 most intense peaks (2θ from 10° to 80°), sorted by position:
d/Å, I_rel
3.652, 100.0
2.949, 46.7
2.718, 58.9
2.499, 89.1
2.295, 74.7
2.181, 43.8
2.109, 33.2
2.063, 84.4
1.381, 33.1
1.231, 31.9

---

[11]
Computed XRD peak list
Compound: PrSnHRh2
Radiation: Cu Kα, 1.54184 Å
Structure: a crystal structure in Alexandria, relaxed with GGA-PBE

Atomic structure:
```
data_PrSnHRh2
_chemical_formula_sum 'Pr4 Sn4 H4 Rh8'
_symmetry_space_group_name_H-M 'C m c m'
_symmetry_Int_Tables_number 63
_symmetry_space_group_name_Hall '-C 2c 2'
_cell_length_a 3.904
_cell_length_b 11.719
_cell_length_c 7.602
_cell_angle_alpha 90.00
_cell_angle_beta 90.00
_cell_angle_gamma 90.00
loop_
_atom_site_label
_atom_site_type_symbol
_atom_site_fract_x
_atom_site_fract_y
_atom_site_fract_z
Pr1 Pr 0.000 0.042 0.250
Sn1 Sn 0.000 0.234 0.750
H1 H 0.000 0.500 0.000
Rh1 Rh 0.000 0.355 0.052
```

The 10 most intense peaks (2θ from 10° to 80°), sorted by position:
d/Å, I_rel
2.761, 56.9
2.734, 35.4
2.653, 100.0
2.595, 87.9
2.322, 82.4
2.091, 39.2
1.952, 36.3
1.539, 16.0
1.494, 41.1
1.332, 16.8

---

[12]
Computed XRD peak list
Compound: PrH4Ru
Radiation: Cu Kα, 1.54184 Å
Structure: a crystal structure in Alexandria, relaxed with GGA-PBE

Atomic structure:
```
data_PrH4Ru
_chemical_formula_sum 'Pr4 H16 Ru4'
_symmetry_space_group_name_H-M 'C m c m'
_symmetry_Int_Tables_number 63
_symmetry_space_group_name_Hall '-C 2c 2'
_cell_length_a 3.939
_cell_length_b 12.105
_cell_length_c 4.989
_cell_angle_alpha 90.00
_cell_angle_beta 90.00
_cell_angle_gamma 90.00
loop_
_atom_site_label
_atom_site_type_symbol
_atom_site_fract_x
_atom_site_fract_y
_atom_site_fract_z
Pr1 Pr 0.000 0.129 0.250
H1 H 0.000 0.096 0.750
H2 H 0.000 0.304 0.006
H3 H 0.000 0.500 0.000
Ru1 Ru 0.000 0.401 0.250
```

The 10 most intense peaks (2θ from 10° to 80°), sorted by position:
d/Å, I_rel
3.026, 48.2
2.995, 100.0
2.494, 33.7
2.454, 79.3
1.969, 17.7
1.925, 26.9
1.651, 16.0
1.546, 15.4
1.509, 15.0
1.376, 17.6

---

[13]
Computed XRD peak list
Compound: Pr3SbH
Radiation: Cu Kα, 1.54184 Å
Structure: a crystal structure in Alexandria, relaxed with GGA-PBE

Atomic structure:
```
data_Pr3SbH
_chemical_formula_sum 'Pr6 Sb2 H2'
_symmetry_space_group_name_H-M 'P -1'
_symmetry_Int_Tables_number 2
_cell_length_a 4.261
_cell_length_b 7.893
_cell_length_c 8.827
_cell_angle_alpha 87.54
_cell_angle_beta 89.98
_cell_angle_gamma 74.34
loop_
_symmetry_equiv_pos_as_xyz
'x,y,z'
'-x,-y,-z'
loop_
_atom_site_label
_atom_site_type_symbol
_atom_site_fract_x
_atom_site_fract_y
_atom_site_fract_z
Pr1 Pr 0.030 0.440 0.299
Pr2 Pr 0.243 0.012 0.700
Pr3 Pr 0.386 0.729 0.048
Sb1 Sb 0.387 0.726 0.445
H1 H 0.111 0.277 0.840
```

The 10 most intense peaks (2θ from 10° to 80°), sorted by position:
d/Å, I_rel
3.260, 56.5
3.087, 54.2
3.027, 99.0
2.986, 89.0
2.941, 100.0
2.815, 34.9
2.473, 53.6
2.403, 44.7
2.131, 43.0
1.726, 41.8